[1]
# RbEr3Se4O12
Calculated powder X-ray diffraction pattern, copper Kα. Input: a cell relaxed with PBE.

Main lines, in order of rising 2θ (5° ≤ 2θ ≤ 70°):
d [Å]	I_rel
6.122	33
3.611	56
3.274	100
3.061	26
2.773	52
2.527	28
2.402	21
1.937	22
1.777	21
1.698	33

Cell and atoms:
Unit cell a=12.2437 b=12.2437 c=8.3244 alpha=90.00 beta=90.00 gamma=120.00
Space group R32 (No. 155, hexagonal axes)
Symmetry-distinct sites (fractional):
Rb 0.0000 0.0000 0.0000 (multiplicity 3)
Er 0.0000 0.5676 0.0000 (multiplicity 9)
Se 0.0000 0.0000 0.5000 (multiplicity 3)
Se 0.0000 0.4327 0.5000 (multiplicity 9)
O 0.0000 0.6161 0.5000 (multiplicity 9)
O 0.0000 0.8437 0.5000 (multiplicity 9)
O 0.0511 0.2533 0.1727 (multiplicity 18)

---

[2]
# LaHfAu
Calculated powder X-ray diffraction pattern, copper Kα. Input: a cell relaxed with PBE.

Main lines, in order of rising 2θ (5° ≤ 2θ ≤ 70°):
d [Å]	I_rel
6.460	30
4.636	19
2.959	30
2.906	35
2.793	64
2.575	57
2.421	100
2.318	28
1.834	20
1.737	18

Cell and atoms:
Unit cell a=3.6685 b=6.6564 c=6.7146 alpha=89.96 beta=74.16 gamma=89.99
Space group P1 (No. 1)
Symmetry-distinct sites (fractional):
La 0.0000 0.0000 0.0000 (multiplicity 1)
La 0.3981 0.5002 0.2104 (multiplicity 1)
Hf 0.6995 0.2494 0.6045 (multiplicity 1)
Hf 0.6987 0.7494 0.6059 (multiplicity 1)
Au 0.0985 0.4989 0.8062 (multiplicity 1)
Au 0.2996 0.9992 0.4042 (multiplicity 1)

---

[3]
# SrVNi2
Calculated powder X-ray diffraction pattern, copper Kα. Input: a cell relaxed with PBE.

Main lines, in order of rising 2θ (5° ≤ 2θ ≤ 70°):
d [Å]	I_rel
4.625	22
3.507	58
3.129	100
2.578	26
2.428	24
2.313	38
2.150	30
2.046	29
2.040	29
1.565	44

Cell and atoms:
Unit cell a=4.8552 b=4.8552 c=15.2126 alpha=90.00 beta=90.00 gamma=90.00
Space group I4_1/amd (No. 141, origin choice 2)
Symmetry-distinct sites (fractional):
Sr 0.0000 0.2500 0.3750 (multiplicity 4)
V 0.0000 0.2500 0.8750 (multiplicity 4)
Ni 0.0000 0.0000 0.0000 (multiplicity 8)